MgAu4Se4Cl4O12: simulated X-ray powder pattern (Cu Kα, 1.54184 Å), based on a DFT-relaxed cell (PBE, the Materials Project).

Crystal structure
Unit cell a=4.461 b=10.539 c=11.317 alpha=82.47 beta=86.97 gamma=87.59
Element x y z (fractional)
Mg (0.000, 0.000, 0.000)
Au (0.765, 0.790, 0.117)
Au (0.770, 0.352, 0.814)
Au (0.813, 0.991, 0.468)
Au (0.832, 0.421, 0.313)
Se (0.007, 0.702, 0.384)
Se (0.087, 0.259, 0.560)
Se (0.560, 0.505, 0.038)
Se (0.643, 0.165, 0.210)
Cl (0.107, 0.173, 0.845)
Cl (0.112, 0.898, 0.617)
Cl (0.449, 0.525, 0.769)
Cl (0.498, 0.898, 0.954)
O (0.108, 0.742, 0.235)
O (0.157, 0.367, 0.433)
O (0.505, 0.456, 0.194)
O (0.525, 0.073, 0.343)
O (0.668, 0.348, 0.991)
O (0.725, 0.591, 0.378)
O (0.730, 0.822, 0.409)
O (0.791, 0.166, 0.528)
O (0.851, 0.364, 0.633)
O (0.886, 0.578, 0.022)
O (0.893, 0.065, 0.145)
O (0.936, 0.255, 0.252)

Main lines, by angle (5° ≤ 2θ ≤ 70°):
hkl	2θ/deg	intensity
0 0 1	7.89	82
0 1 -1	12.31	59
0 1 2	16.97	87
1 0 0	19.94	100
1 0 -1	21.83	41
0 3 1	25.82	58
-1 1 2	27.11	40
0 3 2	28.38	37
1 3 0	32.05	54
0 1 -4	34.18	36